[1]
The following is a computed X-ray powder pattern of RbTl9Au2. It was derived from a GGA-PBE-relaxed structure, using a wavelength of 1.5418 Å.

Cell and atoms:
Cell: 13.1117 13.1117 8.6088 Å, 90.00 90.00 90.00°
Space group I4_1/amd (No. 141, origin choice 2)
Symmetry-distinct sites (fractional):
1 Rb 0.0000 0.2500 0.3750 [4 per cell]
2 Tl 0.0000 0.2500 0.8750 [4 per cell]
3 Tl 0.1237 0.0618 0.6736 [32 per cell]
4 Au 0.0000 0.0000 0.0000 [8 per cell]

Principal peaks in the range 2θ from 10° to 80°, by intensity:
| Position (°2θ) | I/Imax |
| --- | --- |
| 35.79 | 100 |
| 29.92 | 72 |
| 30.49 | 32 |
| 34.81 | 29 |
| 12.30 | 28 |
| 37.10 | 27 |
| 31.92 | 20 |
| 57.68 | 18 |
| 59.44 | 17 |
| 53.83 | 14 |


[2]
The following is a computed X-ray powder pattern of Cs3TlNi2Cl8. It was derived from a GGA-PBE-relaxed structure, using a wavelength of 1.5418 Å.

Cell and atoms:
Cell: 7.5739 7.5739 9.9082 Å, 90.00 90.00 120.00°
Space group P-3m1 (No. 164)
Symmetry-distinct sites (fractional):
1 Cs 0.0000 0.0000 0.0000 [1 per cell]
2 Cs 0.3333 0.6667 0.6327 [2 per cell]
3 Tl 0.0000 0.0000 0.5000 [1 per cell]
4 Ni 0.3333 0.6667 0.1968 [2 per cell]
5 Cl 0.1804 0.3608 0.3039 [6 per cell]
6 Cl 0.3333 0.6667 0.9754 [2 per cell]

Principal peaks in the range 2θ from 10° to 80°, by intensity:
| Position (°2θ) | I/Imax |
| --- | --- |
| 23.49 | 100 |
| 22.49 | 71 |
| 32.75 | 56 |
| 48.04 | 30 |
| 40.70 | 28 |
| 29.69 | 22 |
| 41.29 | 22 |
| 38.86 | 19 |
| 52.20 | 18 |
| 30.30 | 18 |


[3]
The following is a computed X-ray powder pattern of LaPmSbSe. It was derived from a GGA-PBE-relaxed structure, using a wavelength of 1.5418 Å.

Cell and atoms:
Cell: 4.4460 4.4460 6.2152 Å, 90.00 90.00 90.00°
Space group P4/mmm (No. 123)
Symmetry-distinct sites (fractional):
1 La 0.0000 0.0000 0.0000 [1 per cell]
2 Pm 0.5000 0.5000 0.5000 [1 per cell]
3 Sb 0.5000 0.5000 0.0000 [1 per cell]
4 Se 0.0000 0.0000 0.5000 [1 per cell]

Principal peaks in the range 2θ from 10° to 80°, by intensity:
| Position (°2θ) | I/Imax |
| --- | --- |
| 28.39 | 100 |
| 40.83 | 75 |
| 28.73 | 48 |
| 50.48 | 40 |
| 40.58 | 38 |
| 74.00 | 26 |
| 66.51 | 17 |
| 66.68 | 17 |
| 67.21 | 17 |
| 58.74 | 13 |


[4]
The following is a computed X-ray powder pattern of CsK2Pa3Se8. It was derived from a GGA-PBE-relaxed structure, using a wavelength of 1.5418 Å.

Cell and atoms:
Cell: 8.6323 8.6323 24.6955 Å, 90.00 90.00 120.00°
Space group R3m (No. 160, hexagonal axes)
Symmetry-distinct sites (fractional):
1 Cs 0.0000 0.0000 0.0000 [3 per cell]
2 K 0.0000 0.0000 0.3628 [3 per cell]
3 K 0.0000 0.0000 0.7328 [3 per cell]
4 Pa 0.1675 0.3350 0.1961 [9 per cell]
5 Se 0.0000 0.0000 0.1370 [3 per cell]
6 Se 0.0000 0.0000 0.5927 [3 per cell]
7 Se 0.0331 0.5166 0.1339 [9 per cell]
8 Se 0.1860 0.3720 0.9235 [9 per cell]

Principal peaks in the range 2θ from 10° to 80°, by intensity:
| Position (°2θ) | I/Imax |
| --- | --- |
| 10.75 | 100 |
| 27.90 | 72 |
| 34.97 | 63 |
| 37.78 | 48 |
| 41.86 | 44 |
| 24.08 | 39 |
| 23.27 | 32 |
| 18.64 | 25 |
| 12.37 | 22 |
| 43.35 | 21 |